Ca2FeH4: calculated powder diffraction line list (λ = 1.5418 Å (Cu Kα)), based on a PBE-relaxed structure.

Cell: 7.599 7.599 7.599 Å, 153.77 153.77 37.44°
Sites, in units of the cell vectors:
Ca: 0.124 0.124 0.000
Ca: 0.876 0.876 0.000
Fe: 0.500 0.500 0.000
H: 0.000 0.500 0.500
H: 0.385 0.385 0.000
H: 0.500 0.000 0.500
H: 0.615 0.615 0.000

Peak list (12 most intense, 2θ from 10° to 80°, by angle)
two_theta	Rel. int.
12.30	82
31.96	100
36.86	51
39.00	14
40.83	52
50.74	10
53.11	17
63.34	24
64.35	17
69.09	19
76.52	10
78.12	6